Structure and theoretical PXRD pattern of ErAlB4 (a structure optimized by DFT (PBE); copper Kα).
Peak positions follow from Bragg's law for the DFT cell and can differ from measured ones.

```
data_ErAlB4
_chemical_formula_sum 'Er4 Al4 B16'
_cell_length_a 5.9332
_cell_length_b 11.5042
_cell_length_c 3.5338
_cell_angle_alpha 90.00
_cell_angle_beta 90.00
_cell_angle_gamma 90.00
_symmetry_space_group_name_H-M 'P b a m'
_symmetry_Int_Tables_number 55
_symmetry_space_group_name_Hall '-P 2 2ab'
loop_
_atom_site_label
_atom_site_fract_x
_atom_site_fract_y
_atom_site_fract_z
Er1 0.1274 0.1503 0.0000
Al1 0.1368 0.4102 0.0000
B1 0.0283 0.6927 0.5000
B2 0.1145 0.5469 0.5000
B3 0.1337 0.9693 0.5000
B4 0.2121 0.8123 0.5000
```

Largest 10 diffraction maxima, low angle first, 10 to 90 degrees two-theta:
hkl 1 1 0, 2θ = 16.8°, I 28; hkl 1 2 0, 2θ = 21.5°, I 53; hkl 0 0 1, 2θ = 25.2°, I 56; hkl 1 3 0, 2θ = 27.7°, I 37; hkl 0 4 0, 2θ = 31.1°, I 78; hkl 1 2 1, 2θ = 33.4°, I 43; hkl 1 3 1, 2θ = 37.8°, I 41; hkl 0 4 1, 2θ = 40.5°, I 100; hkl 2 5 1, 2θ = 57.0°, I 21; hkl 0 4 2, 2θ = 61.6°, I 23

=====

Structure and theoretical PXRD pattern of ErAl3B4O12 (a structure optimized by DFT (PBE); copper Kα).
Peak positions follow from Bragg's law for the DFT cell and can differ from measured ones.

```
data_ErAl3B4O12
_chemical_formula_sum 'Er3 Al9 B12 O36'
_cell_length_a 9.3461
_cell_length_b 9.3461
_cell_length_c 7.2875
_cell_angle_alpha 90.00
_cell_angle_beta 90.00
_cell_angle_gamma 120.00
_symmetry_space_group_name_H-M 'R 3 2'
_symmetry_Int_Tables_number 155
_symmetry_space_group_name_Hall 'R 3 2"'
loop_
_atom_site_label
_atom_site_fract_x
_atom_site_fract_y
_atom_site_fract_z
Er1 0.0000 0.0000 0.0000
Al1 0.0000 0.4444 0.0000
B1 0.0000 0.0000 0.5000
B2 0.0000 0.5567 0.5000
O1 0.0000 0.1488 0.5000
O2 0.0000 0.4081 0.5000
O3 0.0326 0.8170 0.1868
```

Largest 10 diffraction maxima, low angle first, 10 to 90 degrees two-theta:
hkl 1 0 1, 2θ = 16.4°, I 100; hkl 1 1 0, 2θ = 19.0°, I 63; hkl 0 2 1, 2θ = 25.2°, I 70; hkl 0 1 2, 2θ = 26.8°, I 33; hkl 2 1 1, 2θ = 31.7°, I 48; hkl 2 0 2, 2θ = 33.1°, I 99; hkl 1 2 2, 2θ = 38.4°, I 46; hkl 1 3 1, 2θ = 42.1°, I 40; hkl 0 4 2, 2θ = 51.7°, I 32; hkl 2 2 3, 2θ = 54.5°, I 30